No. 1
Structure and simulated X-ray powder pattern of ZnSiPd3 (a cell relaxed with PBE; a wavelength of 1.5418 Å).
Lines closer than 0.1° are merged.

Structural model:
```
data_ZnSiPd3
_space_group_name_H-M_alt 'P 1'
_space_group_IT_number 1
_cell_length_a 2.948
_cell_length_b 7.775
_cell_length_c 7.813
_cell_angle_alpha 60.20
_cell_angle_beta 89.99
_cell_angle_gamma 89.99
loop_
_space_group_symop_operation_xyz
'x,y,z'
loop_
_atom_site_label
_atom_site_type_symbol
_atom_site_fract_x
_atom_site_fract_y
_atom_site_fract_z
Zn1 Zn 0.000 0.000 0.000
Zn2 Zn 0.498 0.545 0.548
Si1 Si 0.498 0.097 0.487
Si2 Si 0.498 0.482 0.100
Pd1 Pd 0.499 0.153 0.161
Pd2 Pd 0.499 0.833 0.837
Pd3 Pd 0.998 0.237 0.629
Pd4 Pd 0.998 0.479 0.852
Pd5 Pd 0.998 0.627 0.239
Pd6 Pd 0.998 0.846 0.489
```

Largest 10 diffraction maxima, low angle first, 5 to 70 degrees two-theta:
hkl	2θ (°)	d_spacing	I (rel.)
0 2 2	26.44	3.371	23.6
0 2 -1	35.07	2.559	49.8
0 3 1	35.25	2.546	14.8
1 1 -1	38.26	2.352	100.0
0 3 0	40.10	2.248	21.8
1 2 2	40.64	2.220	22.6
-1 2 2	40.66	2.219	21.3
1 1 3	47.03	1.932	40.6
1 3 1	47.17	1.927	18.9
2 0 0	63.06	1.474	14.8

---

No. 2
Structure and simulated X-ray powder pattern of HoFe3Si3 (a cell relaxed with PBE; a wavelength of 1.5418 Å).
Lines closer than 0.1° are merged.

Structural model:
```
data_HoFe3Si3
_space_group_name_H-M_alt 'P m -3 n'
_space_group_IT_number 223
_space_group_name_Hall '-P 4n 2 3'
_cell_length_a 6.243
_cell_length_b 6.243
_cell_length_c 6.243
_cell_angle_alpha 90.00
_cell_angle_beta 90.00
_cell_angle_gamma 90.00
loop_
_atom_site_label
_atom_site_type_symbol
_atom_site_fract_x
_atom_site_fract_y
_atom_site_fract_z
Ho1 Ho 0.000 0.000 0.000
Fe1 Fe 0.000 0.250 0.500
Si1 Si 0.000 0.500 0.250
```

Largest 10 diffraction maxima, low angle first, 5 to 70 degrees two-theta:
hkl	2θ (°)	d_spacing	I (rel.)
1 1 0	20.12	4.414	16.2
2 0 0	28.60	3.121	43.7
2 1 0	32.06	2.792	7.7
2 1 1	35.22	2.549	100.0
2 2 0	40.89	2.207	3.1
3 1 0	45.97	1.974	4.5
3 2 1	55.04	1.668	54.2
4 0 0	59.20	1.561	15.2
4 1 1	63.19	1.471	2.8
4 2 0	67.05	1.396	14.8

---

No. 3
Structure and simulated X-ray powder pattern of Ti4BiC (a cell relaxed with PBE; a wavelength of 1.5418 Å).
Lines closer than 0.1° are merged.

Structural model:
```
data_Ti4BiC
_space_group_name_H-M_alt 'C 1 2/c 1'
_space_group_IT_number 15
_cell_length_a 7.322
_cell_length_b 12.354
_cell_length_c 5.247
_cell_angle_alpha 90.00
_cell_angle_beta 117.01
_cell_angle_gamma 90.00
loop_
_space_group_symop_operation_xyz
'x,y,z'
'-x,-y,-z'
'-x,y,-z+1/2'
'x,-y,z+1/2'
'x+1/2,y+1/2,z'
'-x+1/2,-y+1/2,-z'
'-x+1/2,y+1/2,-z+1/2'
'x+1/2,-y+1/2,z+1/2'
loop_
_atom_site_label
_atom_site_type_symbol
_atom_site_fract_x
_atom_site_fract_y
_atom_site_fract_z
Ti1 Ti 0.116 0.204 0.112
Ti2 Ti 0.182 0.055 0.687
Bi1 Bi 0.000 0.395 0.750
C1 C 0.000 0.067 0.250
```

Largest 10 diffraction maxima, low angle first, 5 to 70 degrees two-theta:
hkl	2θ (°)	d_spacing	I (rel.)
1 1 0	15.36	5.768	61.7
1 1 -1	19.04	4.661	76.2
0 2 1	23.87	3.728	100.0
1 3 -1	28.00	3.187	63.0
2 2 -1	29.13	3.066	92.3
1 1 -2	35.16	2.552	46.7
1 3 1	35.69	2.516	94.9
2 4 -1	38.73	2.325	53.2
1 5 0	38.98	2.311	56.9
2 2 1	42.96	2.106	45.7

---

No. 4
Structure and simulated X-ray powder pattern of Ac3GaSn2Au6 (a cell relaxed with PBE; a wavelength of 1.5418 Å).
Lines closer than 0.1° are merged.

Structural model:
```
data_Ac3GaSn2Au6
_space_group_name_H-M_alt 'P -3 m 1'
_space_group_IT_number 164
_space_group_name_Hall '-P 3 2"'
_cell_length_a 6.4835
_cell_length_b 6.4835
_cell_length_c 8.7629
_cell_angle_alpha 90.00
_cell_angle_beta 90.00
_cell_angle_gamma 120.00
loop_
_atom_site_label
_atom_site_type_symbol
_atom_site_fract_x
_atom_site_fract_y
_atom_site_fract_z
Ac1 Ac 0.0000 0.0000 0.0000
Ac2 Ac 0.3333 0.6667 0.6371
Ga1 Ga 0.0000 0.0000 0.5000
Sn1 Sn 0.3333 0.6667 0.0509
Au1 Au 0.1742 0.3483 0.2986
```

Largest 10 diffraction maxima, low angle first, 5 to 70 degrees two-theta:
hkl	2θ (°)	d_spacing	I (rel.)
1 1 0	27.51	3.242	18.5
0 0 3	30.61	2.921	34.8
2 0 0	31.88	2.807	14.9
0 2 1	33.52	2.674	100.0
1 1 2	34.41	2.606	32.9
2 0 2	38.07	2.364	77.6
0 2 3	44.78	2.024	19.9
0 2 4	53.02	1.727	14.8
2 2 0	56.80	1.621	33.3
2 2 3	65.90	1.417	23.7

---

No. 5
Structure and simulated X-ray powder pattern of Tl5HgBr8 (a cell relaxed with PBE; a wavelength of 1.5418 Å).
Lines closer than 0.1° are merged.

Structural model:
```
data_Tl5HgBr8
_space_group_name_H-M_alt 'F -4 3 m'
_space_group_IT_number 216
_space_group_name_Hall 'F -4 2 3'
_cell_length_a 13.195
_cell_length_b 13.195
_cell_length_c 13.195
_cell_angle_alpha 90.00
_cell_angle_beta 90.00
_cell_angle_gamma 90.00
loop_
_atom_site_label
_atom_site_type_symbol
_atom_site_fract_x
_atom_site_fract_y
_atom_site_fract_z
Tl1 Tl 0.000 0.000 0.000
Tl2 Tl 0.123 0.123 0.623
Hg1 Hg 0.250 0.250 0.250
Br1 Br 0.127 0.127 0.873
Br2 Br 0.132 0.132 0.368
```

Largest 10 diffraction maxima, low angle first, 5 to 70 degrees two-theta:
hkl	2θ (°)	d_spacing	I (rel.)
2 2 0	19.02	4.665	25.0
3 1 1	22.35	3.979	100.0
4 0 0	27.03	3.299	37.5
3 3 3	35.34	2.539	39.9
4 4 0	38.60	2.333	89.4
5 3 3	45.05	2.012	16.1
7 3 1	53.33	1.718	31.2
8 0 0	55.73	1.649	15.2
7 5 1	60.79	1.524	15.2
8 4 4	69.84	1.347	30.7

---

No. 6
Structure and simulated X-ray powder pattern of La12PmEr3 (a cell relaxed with PBE; a wavelength of 1.5418 Å).
Lines closer than 0.1° are merged.

Structural model:
```
data_La12PmEr3
_space_group_name_H-M_alt 'P 4/m m m'
_space_group_IT_number 123
_space_group_name_Hall '-P 4 2'
_cell_length_a 5.206
_cell_length_b 5.206
_cell_length_c 20.819
_cell_angle_alpha 90.00
_cell_angle_beta 90.00
_cell_angle_gamma 90.00
loop_
_atom_site_label
_atom_site_type_symbol
_atom_site_fract_x
_atom_site_fract_y
_atom_site_fract_z
La1 La 0.000 0.000 0.000
La2 La 0.000 0.000 0.249
La3 La 0.000 0.000 0.500
La4 La 0.000 0.500 0.124
La5 La 0.000 0.500 0.374
Pm1 Pm 0.500 0.500 0.500
Er1 Er 0.500 0.500 0.000
Er2 Er 0.500 0.500 0.249
```

Largest 5 diffraction maxima, low angle first, 5 to 70 degrees two-theta:
hkl	2θ (°)	d_spacing	I (rel.)
1 1 4	29.72	3.006	100.0
2 0 0	34.46	2.603	50.7
2 2 0	49.52	1.841	36.3
3 1 4	58.83	1.570	43.3
2 2 8	61.73	1.503	12.5